Record 1
ErHCl: calculated XRD peak list (a wavelength of 1.5418 Å), based on a PBE-relaxed structure.

Most intense lines, 10 to 90 degrees two-theta, by angle:
2θ 27.9, d 3.195, intensity 29; 2θ 30.6, d 2.921, intensity 100; 2θ 32.1, d 2.786, intensity 24; 2θ 38.1, d 2.364, intensity 47; 2θ 49.1, d 1.857, intensity 29; 2θ 63.7, d 1.461, intensity 17

Crystal structure
Cell: 9.5447 9.5447 9.5447 Å, 22.44 22.44 22.44°
Element x y z (fractional)
Er  0.1185  0.1185  0.1185
Er  0.8815  0.8815  0.8815
H  0.1967  0.1967  0.1967
H  0.8033  0.8033  0.8033
Cl  0.3912  0.3912  0.3912
Cl  0.6088  0.6088  0.6088

Record 2
ErH2ClO2: calculated XRD peak list (a wavelength of 1.5418 Å), based on a PBE-relaxed structure.

Most intense lines, 10 to 90 degrees two-theta, by angle:
2θ 13.8, d 6.396, intensity 100; 2θ 23.0, d 3.872, intensity 41; 2θ 30.4, d 2.942, intensity 51; 2θ 34.0, d 2.633, intensity 37; 2θ 37.7, d 2.388, intensity 47; 2θ 50.9, d 1.796, intensity 37

Crystal structure
Cell: 6.2237 3.5916 6.6510 Å, 90.00 105.91 90.00°
Element x y z (fractional)
Er  0.2166  0.2500  0.3897
Er  0.7834  0.7500  0.6103
H  0.1499  0.2500  0.8010
H  0.3716  0.7500  0.7295
H  0.6284  0.2500  0.2705
H  0.8501  0.7500  0.1990
Cl  0.2687  0.7500  0.0764
Cl  0.7313  0.2500  0.9236
O  0.0488  0.2500  0.6594
O  0.3938  0.7500  0.5894
O  0.6062  0.2500  0.4106
O  0.9512  0.7500  0.3406

Record 3
K2NaErCl6: calculated XRD peak list (a wavelength of 1.5418 Å), based on a PBE-relaxed structure.

Most intense lines, 10 to 90 degrees two-theta, by angle:
2θ 14.4, d 6.165, intensity 96; 2θ 16.6, d 5.339, intensity 79; 2θ 23.6, d 3.775, intensity 83; 2θ 27.7, d 3.220, intensity 53; 2θ 33.6, d 2.670, intensity 100; 2θ 48.2, d 1.888, intensity 66

Crystal structure
Cell: 7.5508 7.5508 7.5508 Å, 60.00 60.00 60.00°
Element x y z (fractional)
K  0.2500  0.2500  0.2500
K  0.7500  0.7500  0.7500
Na  0.0000  0.0000  0.0000
Er  0.5000  0.5000  0.5000
Cl  0.2561  0.2561  0.7439
Cl  0.2561  0.7439  0.2561
Cl  0.2561  0.7439  0.7439
Cl  0.7439  0.2561  0.2561
Cl  0.7439  0.2561  0.7439
Cl  0.7439  0.7439  0.2561

Record 4
KRb2ErCl6: calculated XRD peak list (a wavelength of 1.5418 Å), based on a PBE-relaxed structure.

Most intense lines, 10 to 90 degrees two-theta, by angle:
2θ 13.7, d 6.476, intensity 46; 2θ 22.4, d 3.966, intensity 100; 2θ 31.9, d 2.804, intensity 75; 2θ 39.4, d 2.290, intensity 45; 2θ 45.8, d 1.983, intensity 50; 2θ 61.9, d 1.499, intensity 26

Crystal structure
Cell: 7.9319 7.9319 7.9319 Å, 60.00 60.00 60.00°
Element x y z (fractional)
K  0.0000  0.0000  0.0000
Rb  0.2500  0.2500  0.2500
Rb  0.7500  0.7500  0.7500
Er  0.5000  0.5000  0.5000
Cl  0.2672  0.2672  0.7328
Cl  0.2672  0.7328  0.2672
Cl  0.2672  0.7328  0.7328
Cl  0.7328  0.2672  0.2672
Cl  0.7328  0.2672  0.7328
Cl  0.7328  0.7328  0.2672

Record 5
Na2LiErCl6: calculated XRD peak list (a wavelength of 1.5418 Å), based on a PBE-relaxed structure.

Most intense lines, 10 to 90 degrees two-theta, by angle:
2θ 15.0, d 5.900, intensity 100; 2θ 17.4, d 5.110, intensity 91; 2θ 29.0, d 3.081, intensity 70; 2θ 35.1, d 2.555, intensity 75; 2θ 39.4, d 2.285, intensity 43; 2θ 50.5, d 1.807, intensity 49

Crystal structure
Cell: 7.2262 7.2262 7.2262 Å, 60.00 60.00 60.00°
Element x y z (fractional)
Na  0.2500  0.2500  0.2500
Na  0.7500  0.7500  0.7500
Li  0.0000  0.0000  0.0000
Er  0.5000  0.5000  0.5000
Cl  0.2465  0.2465  0.7535
Cl  0.2465  0.7535  0.2465
Cl  0.2465  0.7535  0.7535
Cl  0.7535  0.2465  0.2465
Cl  0.7535  0.2465  0.7535
Cl  0.7535  0.7535  0.2465